(1)
K2SrBiF8: calculated X-ray diffraction stick pattern (copper Kα), based on a cell relaxed with PBE.
Kinematic intensities with the Lorentz-polarization factor, no thermal factor.

Main lines, by angle (2θ = 10–80°):
- hkl 0 0 1, 2θ = 10.74°, intensity 403
- hkl 0 1 0, 2θ = 14.06°, intensity 863
- hkl 0 1 1, 2θ = 17.73°, intensity 300
- hkl 0 0 2, 2θ = 21.57°, intensity 251
- hkl 0 1 2, 2θ = 25.84°, intensity 1000
- hkl 1 1 0, 2θ = 26.33°, intensity 951
- hkl 1 2 2, 2θ = 42.58°, intensity 919
- hkl 1 1 4, 2θ = 51.97°, intensity 275
- hkl 2 1 2, 2θ = 52.78°, intensity 274
- hkl 1 3 2, 2θ = 54.12°, intensity 231

Cell and atoms:
```
data_K2SrBiF8
_chemical_formula_sum 'K2 Sr1 Bi1 F8'
_symmetry_space_group_name_H-M 'P m m m'
_symmetry_Int_Tables_number 47
_symmetry_space_group_name_Hall '-P 2 2'
_cell_length_a 4.014
_cell_length_b 6.297
_cell_length_c 8.240
_cell_angle_alpha 90.00
_cell_angle_beta 90.00
_cell_angle_gamma 90.00
loop_
_atom_site_label
_atom_site_fract_x
_atom_site_fract_y
_atom_site_fract_z
_atom_site_occupancy
K1 0.000 0.000 0.242 1
Sr1 0.500 0.500 0.000 1
Bi1 0.500 0.500 0.500 1
F1 0.000 0.270 0.000 1
F2 0.000 0.307 0.500 1
F3 0.500 0.289 0.284 1
```

(2)
CsK2NbS4: calculated X-ray diffraction stick pattern (copper Kα), based on a cell relaxed with PBE.
Kinematic intensities with the Lorentz-polarization factor, no thermal factor.

Main lines, by angle (2θ = 10–80°):
- hkl 1 1 0, 2θ = 10.94°, intensity 516
- hkl 0 2 1, 2θ = 21.38°, intensity 289
- hkl 2 2 0, 2θ = 21.99°, intensity 935
- hkl 1 1 -2, 2θ = 24.35°, intensity 472
- hkl 4 0 0, 2θ = 27.74°, intensity 1000
- hkl 0 2 2, 2θ = 31.08°, intensity 502
- hkl 5 1 -2, 2θ = 31.41°, intensity 340
- hkl 3 3 -2, 2θ = 34.59°, intensity 344
- hkl 2 0 2, 2θ = 35.50°, intensity 384
- hkl 1 3 2, 2θ = 40.04°, intensity 296

Cell and atoms:
```
data_CsK2NbS4
_chemical_formula_sum 'Cs4 K8 Nb4 S16'
_symmetry_space_group_name_H-M 'C 1 2 1'
_symmetry_Int_Tables_number 5
_symmetry_space_group_name_Hall 'C 2y'
_cell_length_a 15.236
_cell_length_b 10.403
_cell_length_c 8.197
_cell_angle_alpha 90.00
_cell_angle_beta 122.49
_cell_angle_gamma 90.00
loop_
_atom_site_label
_atom_site_fract_x
_atom_site_fract_y
_atom_site_fract_z
_atom_site_occupancy
Cs1 0.000 0.000 0.000 1
Cs2 0.000 0.014 0.500 1
K1 0.000 0.476 0.500 1
K2 0.000 0.537 0.000 1
K3 0.250 0.257 0.140 1
Nb1 0.250 0.257 0.633 1
S1 0.099 0.752 0.371 1
S2 0.100 0.262 0.328 1
S3 0.245 0.432 0.798 1
S4 0.245 0.582 0.192 1
```

(3)
KPaCdCl6: calculated X-ray diffraction stick pattern (copper Kα), based on a cell relaxed with PBE.
Kinematic intensities with the Lorentz-polarization factor, no thermal factor.

Main lines, by angle (2θ = 10–80°):
- hkl 0 0 2, 2θ = 12.13°, intensity 281
- hkl 1 0 1, 2θ = 14.31°, intensity 928
- hkl 1 0 2, 2θ = 17.78°, intensity 1000
- hkl 1 1 0, 2θ = 22.50°, intensity 529
- hkl 1 1 2, 2θ = 25.66°, intensity 250
- hkl 2 0 2, 2θ = 28.84°, intensity 251
- hkl 1 1 4, 2θ = 33.45°, intensity 705
- hkl 2 1 2, 2θ = 36.90°, intensity 304
- hkl 3 0 0, 2θ = 39.52°, intensity 400
- hkl 3 0 4, 2θ = 46.99°, intensity 213

Cell and atoms:
```
data_KPaCdCl6
_chemical_formula_sum 'K2 Pa2 Cd2 Cl12'
_symmetry_space_group_name_H-M 'P -3 1 c'
_symmetry_Int_Tables_number 163
_symmetry_space_group_name_Hall '-P 3 2c'
_cell_length_a 7.8941
_cell_length_b 7.8941
_cell_length_c 14.5895
_cell_angle_alpha 90.00
_cell_angle_beta 90.00
_cell_angle_gamma 120.00
loop_
_atom_site_label
_atom_site_fract_x
_atom_site_fract_y
_atom_site_fract_z
_atom_site_occupancy
K1 0.3333 0.6667 0.2500 1
Pa1 0.3333 0.6667 0.7500 1
Cd1 0.0000 0.0000 0.0000 1
Cl1 0.0616 0.4055 0.6487 1
```

(4)
LaPrMgMn: calculated X-ray diffraction stick pattern (copper Kα), based on a cell relaxed with PBE.
Kinematic intensities with the Lorentz-polarization factor, no thermal factor.

Main lines, by angle (2θ = 10–80°):
- hkl 1 1 1, 2θ = 20.05°, intensity 18
- hkl 2 0 0, 2θ = 23.19°, intensity 359
- hkl 2 2 0, 2θ = 33.03°, intensity 1000
- hkl 2 2 2, 2θ = 40.75°, intensity 112
- hkl 4 0 0, 2θ = 47.41°, intensity 179
- hkl 4 2 0, 2θ = 53.43°, intensity 156
- hkl 4 2 2, 2θ = 59.00°, intensity 368
- hkl 4 4 0, 2θ = 69.31°, intensity 112
- hkl 6 0 0, 2θ = 74.18°, intensity 75
- hkl 6 2 0, 2θ = 78.95°, intensity 155

Cell and atoms:
```
data_LaPrMgMn
_chemical_formula_sum 'La4 Pr4 Mg4 Mn4'
_symmetry_space_group_name_H-M 'F -4 3 m'
_symmetry_Int_Tables_number 216
_symmetry_space_group_name_Hall 'F -4 2 3'
_cell_length_a 7.670
_cell_length_b 7.670
_cell_length_c 7.670
_cell_angle_alpha 90.00
_cell_angle_beta 90.00
_cell_angle_gamma 90.00
loop_
_atom_site_label
_atom_site_fract_x
_atom_site_fract_y
_atom_site_fract_z
_atom_site_occupancy
La1 0.000 0.000 0.000 1
Pr1 0.000 0.000 0.500 1
Mg1 0.250 0.250 0.250 1
Mn1 0.250 0.250 0.750 1
```

(5)
TaPd12Pt6: calculated X-ray diffraction stick pattern (copper Kα), based on a cell relaxed with PBE.
Kinematic intensities with the Lorentz-polarization factor, no thermal factor.

Main lines, by angle (2θ = 10–80°):
- hkl 1 0 1, 2θ = 13.11°, intensity 122
- hkl 0 1 2, 2θ = 18.60°, intensity 140
- hkl 1 3 1, 2θ = 39.98°, intensity 1000
- hkl 0 1 5, 2θ = 40.24°, intensity 256
- hkl 4 -1 2, 2θ = 42.25°, intensity 385
- hkl 3 -1 4, 2θ = 42.39°, intensity 384
- hkl 2 2 3, 2θ = 44.45°, intensity 170
- hkl 2 0 5, 2θ = 44.64°, intensity 117
- hkl 5 2 0, 2θ = 70.98°, intensity 112
- hkl 5 2 3, 2θ = 75.68°, intensity 137

Cell and atoms:
```
data_TaPd12Pt6
_chemical_formula_sum 'Ta3 Pd36 Pt18'
_symmetry_space_group_name_H-M 'R -3'
_symmetry_Int_Tables_number 148
_symmetry_space_group_name_Hall '-R 3'
_cell_length_a 9.5765
_cell_length_b 9.5765
_cell_length_c 11.6383
_cell_angle_alpha 90.00
_cell_angle_beta 90.00
_cell_angle_gamma 120.00
loop_
_atom_site_label
_atom_site_fract_x
_atom_site_fract_y
_atom_site_fract_z
_atom_site_occupancy
Ta1 0.0000 0.0000 0.0000 1
Pd1 0.0320 0.1838 0.8096 1
Pd2 0.0650 0.8438 0.4151 1
Pt1 0.0257 0.4426 0.7021 1
```

(6)
NaCe3Tl4Se8: calculated X-ray diffraction stick pattern (copper Kα), based on a cell relaxed with PBE.
Kinematic intensities with the Lorentz-polarization factor, no thermal factor.

Main lines, by angle (2θ = 10–80°):
- hkl 0 0 2, 2θ = 22.98°, intensity 87
- hkl 4 0 0, 2θ = 23.88°, intensity 417
- hkl 4 0 -1, 2θ = 26.55°, intensity 365
- hkl 2 2 -2, 2θ = 33.38°, intensity 1000
- hkl 6 2 0, 2θ = 42.00°, intensity 392
- hkl 6 2 -2, 2θ = 48.41°, intensity 78
- hkl 4 0 -4, 2θ = 53.34°, intensity 166
- hkl 8 0 -2, 2θ = 54.68°, intensity 244
- hkl 6 2 4, 2θ = 64.80°, intensity 142
- hkl 8 4 -2, 2θ = 71.24°, intensity 171

Cell and atoms:
```
data_NaCe3Tl4Se8
_chemical_formula_sum 'Na2 Ce6 Tl8 Se16'
_symmetry_space_group_name_H-M 'C 1 2/m 1'
_symmetry_Int_Tables_number 12
_symmetry_space_group_name_Hall '-C 2y'
_cell_length_a 14.894
_cell_length_b 8.609
_cell_length_c 7.742
_cell_angle_alpha 90.00
_cell_angle_beta 90.06
_cell_angle_gamma 90.00
loop_
_atom_site_label
_atom_site_fract_x
_atom_site_fract_y
_atom_site_fract_z
_atom_site_occupancy
Na1 0.000 0.000 0.000 1
Ce1 0.000 0.500 0.000 1
Ce2 0.250 0.250 0.000 1
Tl1 0.000 0.000 0.500 1
Tl2 0.000 0.500 0.500 1
Tl3 0.250 0.250 0.500 1
Se1 0.087 0.260 0.795 1
Se2 0.167 0.500 0.205 1
Se3 0.174 0.000 0.205 1
```

(7)
ZrTaZn2: calculated X-ray diffraction stick pattern (copper Kα), based on a cell relaxed with PBE.
Kinematic intensities with the Lorentz-polarization factor, no thermal factor.

Main lines, by angle (2θ = 10–80°):
- hkl 0 0 1, 2θ = 10.99°, intensity 238
- hkl 1 0 1, 2θ = 32.34°, intensity 180
- hkl 0 0 3, 2θ = 33.40°, intensity 91
- hkl 1 0 2, 2θ = 37.83°, intensity 1000
- hkl 1 1 0, 2θ = 43.41°, intensity 366
- hkl 0 0 4, 2θ = 45.06°, intensity 118
- hkl 1 1 3, 2θ = 55.85°, intensity 85
- hkl 2 0 0, 2θ = 63.06°, intensity 118
- hkl 1 1 4, 2θ = 64.35°, intensity 159
- hkl 2 1 2, 2θ = 75.95°, intensity 249

Cell and atoms:
```
data_ZrTaZn2
_chemical_formula_sum 'Zr1 Ta1 Zn2'
_symmetry_space_group_name_H-M 'P 4 m m'
_symmetry_Int_Tables_number 99
_symmetry_space_group_name_Hall 'P 4 -2'
_cell_length_a 2.948
_cell_length_b 2.948
_cell_length_c 8.047
_cell_angle_alpha 90.00
_cell_angle_beta 90.00
_cell_angle_gamma 90.00
loop_
_atom_site_label
_atom_site_fract_x
_atom_site_fract_y
_atom_site_fract_z
_atom_site_occupancy
Zr1 0.000 0.000 0.000 1
Ta1 0.500 0.500 0.290 1
Zn1 0.000 0.000 0.531 1
Zn2 0.500 0.500 0.735 1
```

(8)
NaAlSiO4: calculated X-ray diffraction stick pattern (copper Kα), based on a cell relaxed with PBE.
Kinematic intensities with the Lorentz-polarization factor, no thermal factor.

Main lines, by angle (2θ = 10–80°):
- hkl 1 0 1, 2θ = 21.14°, intensity 1000
- hkl 1 1 2, 2θ = 34.51°, intensity 841
- hkl 2 0 0, 2θ = 35.57°, intensity 97
- hkl 2 1 1, 2θ = 41.74°, intensity 148
- hkl 2 0 2, 2θ = 43.05°, intensity 76
- hkl 2 2 0, 2θ = 51.18°, intensity 98
- hkl 1 2 3, 2θ = 54.49°, intensity 143
- hkl 2 0 4, 2θ = 61.14°, intensity 195
- hkl 3 1 2, 2θ = 63.20°, intensity 195
- hkl 3 2 1, 2θ = 68.10°, intensity 66

Cell and atoms:
```
data_NaAlSiO4
_chemical_formula_sum 'Na2 Al2 Si2 O8'
_symmetry_space_group_name_H-M 'I -4'
_symmetry_Int_Tables_number 82
_symmetry_space_group_name_Hall 'I -4'
_cell_length_a 5.049
_cell_length_b 5.049
_cell_length_c 7.583
_cell_angle_alpha 90.00
_cell_angle_beta 90.00
_cell_angle_gamma 90.00
loop_
_atom_site_label
_atom_site_fract_x
_atom_site_fract_y
_atom_site_fract_z
_atom_site_occupancy
Na1 0.000 0.000 0.000 1
Al1 0.000 0.000 0.500 1
Si1 0.000 0.500 0.750 1
O1 0.127 0.265 0.627 1
```

(9)
Ho3Al6Au5: calculated X-ray diffraction stick pattern (copper Kα), based on a cell relaxed with PBE.
Kinematic intensities with the Lorentz-polarization factor, no thermal factor.

Main lines, by angle (2θ = 10–80°):
- hkl 1 1 1, 2θ = 23.48°, intensity 224
- hkl 0 0 3, 2θ = 27.90°, intensity 362
- hkl 1 3 0, 2θ = 29.22°, intensity 324
- hkl 1 3 1, 2θ = 30.70°, intensity 261
- hkl 0 4 2, 2θ = 33.53°, intensity 266
- hkl 1 3 2, 2θ = 34.80°, intensity 1000
- hkl 0 0 4, 2θ = 37.57°, intensity 147
- hkl 2 0 0, 2θ = 41.48°, intensity 330
- hkl 1 1 4, 2θ = 43.66°, intensity 168
- hkl 2 0 3, 2θ = 50.73°, intensity 146

Cell and atoms:
```
data_Ho3Al6Au5
_chemical_formula_sum 'Ho6 Al12 Au10'
_symmetry_space_group_name_H-M 'P m m n'
_symmetry_Int_Tables_number 59
_cell_length_a 4.354
_cell_length_b 12.877
_cell_length_c 9.592
_cell_angle_alpha 90.00
_cell_angle_beta 90.00
_cell_angle_gamma 90.00
loop_
_symmetry_equiv_pos_as_xyz
'x,y,z'
'-x,-y,-z'
'-x+1/2,-y+1/2,z'
'x+1/2,y+1/2,-z'
'x+1/2,-y,-z'
'-x+1/2,y,z'
'-x,y+1/2,-z'
'x,-y+1/2,z'
loop_
_atom_site_label
_atom_site_fract_x
_atom_site_fract_y
_atom_site_fract_z
_atom_site_occupancy
Ho1 0.250 0.051 0.247 1
Ho2 0.250 0.750 0.249 1
Al1 0.250 0.076 0.597 1
Al2 0.250 0.250 0.043 1
Al3 0.250 0.250 0.426 1
Al4 0.250 0.597 0.981 1
Au1 0.250 0.095 0.868 1
Au2 0.250 0.626 0.529 1
Au3 0.250 0.750 0.792 1
```

(10)
Dy8Pd2Pt: calculated X-ray diffraction stick pattern (copper Kα), based on a cell relaxed with PBE.
Kinematic intensities with the Lorentz-polarization factor, no thermal factor.

Main lines, by angle (2θ = 10–80°):
- hkl 3 1 1, 2θ = 29.25°, intensity 500
- hkl 5 1 0, 2θ = 31.72°, intensity 483
- hkl 5 1 -1, 2θ = 31.88°, intensity 1000
- hkl 1 1 -2, 2θ = 32.01°, intensity 977
- hkl 1 1 2, 2θ = 34.25°, intensity 598
- hkl 0 2 0, 2θ = 35.40°, intensity 962
- hkl 6 0 1, 2θ = 37.70°, intensity 634
- hkl 7 1 -1, 2θ = 40.50°, intensity 248
- hkl 5 3 -1, 2θ = 61.33°, intensity 297
- hkl 7 1 3, 2θ = 67.26°, intensity 247

Cell and atoms:
```
data_Dy8Pd2Pt
_chemical_formula_sum 'Dy16 Pd4 Pt2'
_symmetry_space_group_name_H-M 'C 1 2/m 1'
_symmetry_Int_Tables_number 12
_symmetry_space_group_name_Hall '-C 2y'
_cell_length_a 17.501
_cell_length_b 5.072
_cell_length_c 6.713
_cell_angle_alpha 90.00
_cell_angle_beta 104.31
_cell_angle_gamma 90.00
loop_
_atom_site_label
_atom_site_fract_x
_atom_site_fract_y
_atom_site_fract_z
_atom_site_occupancy
Dy1 0.033 0.000 0.284 1
Dy2 0.089 0.500 0.947 1
Dy3 0.166 0.500 0.481 1
Dy4 0.205 0.000 0.830 1
Pd1 0.187 0.000 0.235 1
Pt1 0.000 0.500 0.500 1
```

(11)
Tl3SI2: calculated X-ray diffraction stick pattern (copper Kα), based on a cell relaxed with PBE.
Kinematic intensities with the Lorentz-polarization factor, no thermal factor.

Main lines, by angle (2θ = 10–80°):
- hkl 1 1 -2, 2θ = 24.15°, intensity 105
- hkl 0 2 0, 2θ = 26.98°, intensity 1000
- hkl 5 1 0, 2θ = 33.04°, intensity 192
- hkl 2 2 2, 2θ = 38.51°, intensity 397
- hkl 2 0 -4, 2θ = 40.67°, intensity 111
- hkl 2 2 -4, 2θ = 49.47°, intensity 126
- hkl 7 1 -4, 2θ = 53.36°, intensity 101
- hkl 7 1 2, 2θ = 55.38°, intensity 149
- hkl 0 4 0, 2θ = 55.60°, intensity 78
- hkl 2 4 2, 2θ = 62.85°, intensity 134

Cell and atoms:
```
data_Tl3SI2
_chemical_formula_sum 'Tl12 S4 I8'
_symmetry_space_group_name_H-M 'C 1 2/c 1'
_symmetry_Int_Tables_number 15
_symmetry_space_group_name_Hall '-C 2yc'
_cell_length_a 15.514
_cell_length_b 6.614
_cell_length_c 8.874
_cell_angle_alpha 90.00
_cell_angle_beta 106.66
_cell_angle_gamma 90.00
loop_
_atom_site_label
_atom_site_fract_x
_atom_site_fract_y
_atom_site_fract_z
_atom_site_occupancy
Tl1 0.000 0.001 0.250 1
Tl2 0.128 0.500 0.064 1
S1 0.000 0.500 0.250 1
I1 0.180 0.000 0.090 1
```

(12)
CaAc2Sb4Pd3: calculated X-ray diffraction stick pattern (copper Kα), based on a cell relaxed with PBE.
Kinematic intensities with the Lorentz-polarization factor, no thermal factor.

Main lines, by angle (2θ = 10–80°):
- hkl 1 1 0, 2θ = 26.77°, intensity 230
- hkl 1 0 3, 2θ = 29.59°, intensity 587
- hkl 1 1 2, 2θ = 30.83°, intensity 1000
- hkl 1 0 4, 2θ = 35.92°, intensity 139
- hkl 2 0 0, 2θ = 38.22°, intensity 594
- hkl 1 0 5, 2θ = 42.86°, intensity 273
- hkl 2 1 3, 2θ = 49.06°, intensity 294
- hkl 2 2 0, 2θ = 55.16°, intensity 206
- hkl 2 1 5, 2θ = 58.76°, intensity 215
- hkl 3 1 2, 2θ = 64.54°, intensity 241

Cell and atoms:
```
data_CaAc2Sb4Pd3
_chemical_formula_sum 'Ca1 Ac2 Sb4 Pd3'
_symmetry_space_group_name_H-M 'P -4 m 2'
_symmetry_Int_Tables_number 115
_symmetry_space_group_name_Hall 'P -4 -2'
_cell_length_a 4.710
_cell_length_b 4.710
_cell_length_c 11.800
_cell_angle_alpha 90.00
_cell_angle_beta 90.00
_cell_angle_gamma 90.00
loop_
_atom_site_label
_atom_site_fract_x
_atom_site_fract_y
_atom_site_fract_z
_atom_site_occupancy
Ca1 0.000 0.000 0.000 1
Ac1 0.000 0.500 0.732 1
Sb1 0.000 0.000 0.500 1
Sb2 0.000 0.500 0.155 1
Sb3 0.500 0.500 0.500 1
Pd1 0.000 0.500 0.383 1
Pd2 0.500 0.500 0.000 1
```